Entry 1:
Structure and computed powder diffraction line list of MgW4O12 (a crystal structure in the Materials Project, relaxed with PBE+U; a wavelength of 1.5418 Å).
Peak positions follow from Bragg's law for the DFT cell and can differ from measured ones.

Principal peaks in the range 10° ≤ 2θ ≤ 90°, by angle:
- 2θ 22.69, rel. 56
- 2θ 23.41, rel. 100
- 2θ 32.83, rel. 67
- 2θ 33.34, rel. 38
- 2θ 40.71, rel. 26
- 2θ 59.26, rel. 31

```
17
Lattice="5.374 0.000 0.000 0.000 5.374 0.000 0.000 0.000 7.837" Properties=species:S:1:pos:R:3 pbc="T T T"
Mg 0.000 0.000 0.000
W 0.000 2.687 2.003
W 0.000 2.687 5.890
W 2.687 0.000 1.947
W 2.687 0.000 5.834
O 0.000 2.687 0.035
O 0.000 2.687 3.857
O 0.927 4.381 1.752
O 0.993 0.927 6.085
O 1.631 3.718 5.857
O 1.656 1.631 1.980
O 2.687 0.000 3.980
O 2.687 0.000 7.802
O 3.718 3.744 1.980
O 3.744 1.656 5.857
O 4.381 4.447 6.085
O 4.447 0.993 1.752
```

***

Entry 2:
Structure and computed powder diffraction line list of MgWO2 (a crystal structure in the Materials Project, relaxed with PBE+U; a wavelength of 1.5418 Å).
Peak positions follow from Bragg's law for the DFT cell and can differ from measured ones.

Principal peaks in the range 10° ≤ 2θ ≤ 90°, by angle:
- 2θ 10.55, rel. 100
- 2θ 11.26, rel. 90
- 2θ 15.88, rel. 13
- 2θ 34.22, rel. 12
- 2θ 34.67, rel. 17
- 2θ 35.32, rel. 16

```
16
Lattice="2.959 0.000 0.000 -0.895 7.872 0.000 -0.857 -0.465 8.382" Properties=species:S:1:pos:R:3 pbc="T T T"
Mg 0.000 0.000 0.000
Mg -0.965 7.143 4.812
Mg 0.390 4.923 1.958
Mg 1.807 1.885 2.749
W 0.101 2.297 7.941
W 0.356 4.223 4.712
W 1.324 1.956 5.833
W 1.074 4.643 7.269
O -0.150 0.534 6.662
O 0.330 3.141 2.962
O 0.525 6.360 0.007
O 1.508 1.203 0.875
O 0.579 6.032 5.756
O 1.383 0.593 4.218
O 1.902 4.145 0.777
O 1.819 5.422 3.447
```

***

Entry 3:
Structure and computed powder diffraction line list of MgW4O12 (a crystal structure in the Materials Project, relaxed with PBE+U; a wavelength of 1.5418 Å).
Peak positions follow from Bragg's law for the DFT cell and can differ from measured ones.

Principal peaks in the range 10° ≤ 2θ ≤ 90°, by angle:
- 2θ 22.76, rel. 56
- 2θ 23.38, rel. 100
- 2θ 32.86, rel. 66
- 2θ 33.30, rel. 38
- 2θ 40.72, rel. 25
- 2θ 59.22, rel. 31

```
17
Lattice="5.382 0.000 0.000 0.000 5.382 0.000 0.000 0.000 7.813" Properties=species:S:1:pos:R:3 pbc="T T T"
Mg 0.000 0.000 0.000
W 0.000 2.691 1.982
W 0.000 2.691 5.845
W 2.691 0.000 1.969
W 2.691 0.000 5.831
O 0.000 2.691 3.946
O 0.000 2.691 7.787
O 0.968 4.395 1.759
O 0.987 0.968 6.054
O 1.616 3.704 5.845
O 1.678 1.616 1.968
O 2.691 0.000 0.026
O 2.691 0.000 3.867
O 3.704 3.766 1.968
O 3.766 1.678 5.845
O 4.395 4.413 6.054
O 4.413 0.987 1.759
```

***

Entry 4:
Structure and computed powder diffraction line list of MgW4O12 (a crystal structure in the Materials Project, relaxed with PBE+U; a wavelength of 1.5418 Å).
Peak positions follow from Bragg's law for the DFT cell and can differ from measured ones.

Principal peaks in the range 10° ≤ 2θ ≤ 90°, by angle:
- 2θ 22.77, rel. 100
- 2θ 22.99, rel. 95
- 2θ 23.32, rel. 91
- 2θ 32.41, rel. 30
- 2θ 32.59, rel. 62
- 2θ 32.98, rel. 67

```
17
Lattice="3.906 0.000 0.000 -0.183 7.630 0.000 -0.021 -0.016 7.735" Properties=species:S:1:pos:R:3 pbc="T T T"
Mg 0.000 0.000 0.000
W 1.552 2.254 5.830
W 1.672 2.210 2.026
W 1.666 6.069 5.830
W 1.685 6.002 2.010
O 1.463 1.723 0.091
O 1.565 2.647 3.836
O 1.706 0.361 2.372
O 1.613 4.239 6.176
O 1.629 4.194 1.569
O 1.758 0.365 5.453
O 1.684 5.723 3.827
O 1.701 6.671 0.110
O 3.559 2.260 1.898
O 3.545 2.281 5.913
O 3.605 6.226 1.808
O 3.602 6.352 6.112
```

***

Entry 5:
Structure and computed powder diffraction line list of MgW2O5 (a crystal structure in the Materials Project, relaxed with PBE+U; a wavelength of 1.5418 Å).
Peak positions follow from Bragg's law for the DFT cell and can differ from measured ones.

Principal peaks in the range 10° ≤ 2θ ≤ 90°, by angle:
- 2θ 15.81, rel. 100
- 2θ 17.80, rel. 44
- 2θ 25.90, rel. 88
- 2θ 29.28, rel. 35
- 2θ 33.50, rel. 38
- 2θ 34.95, rel. 38

```
16
Lattice="1.916 -5.604 0.000 1.916 5.604 0.000 0.000 0.000 10.906" Properties=species:S:1:pos:R:3 pbc="T T T"
Mg 1.916 4.519 8.179
Mg 1.916 -4.519 2.726
W 1.916 3.475 1.350
W 1.916 3.475 4.103
W 1.916 -3.475 6.803
W 1.916 -3.475 9.556
O 1.916 5.264 1.309
O 1.916 5.264 4.143
O 1.916 2.747 6.463
O 1.916 2.747 9.896
O 1.916 1.822 2.726
O 1.916 -1.822 8.179
O 1.916 -2.747 1.010
O 1.916 -2.747 4.443
O 1.916 -5.264 6.762
O 1.916 -5.264 9.596
```

***

Entry 6:
Structure and computed powder diffraction line list of Y4MgW4O20 (a crystal structure in the Materials Project, relaxed with PBE+U; a wavelength of 1.5418 Å).
Peak positions follow from Bragg's law for the DFT cell and can differ from measured ones.

Principal peaks in the range 10° ≤ 2θ ≤ 90°, by angle:
- 2θ 19.82, rel. 75
- 2θ 19.96, rel. 59
- 2θ 27.21, rel. 100
- 2θ 27.65, rel. 49
- 2θ 27.98, rel. 74
- 2θ 32.01, rel. 61

```
29
Lattice="5.345 0.000 0.000 -2.202 6.151 0.000 -0.071 -0.349 12.767" Properties=species:S:1:pos:R:3 pbc="T T T"
Y 0.000 0.000 0.000
Y -1.214 5.516 6.337
Y 1.416 2.940 4.959
Y 2.672 2.318 11.362
Mg -0.168 0.833 9.504
W 0.331 3.405 0.975
W 0.131 4.969 10.271
W 4.118 0.293 3.822
W 3.706 2.307 7.379
O -0.369 0.798 7.539
O -1.269 4.244 11.285
O 0.277 0.976 4.697
O -0.325 3.271 6.395
O -0.777 4.821 1.207
O -0.461 5.347 8.609
O 1.245 0.606 10.864
O 0.762 3.009 2.680
O 1.557 1.710 0.397
O 1.051 3.413 10.026
O 0.609 5.279 4.661
O 2.427 1.288 6.518
O 1.589 3.938 12.721
O 3.085 1.778 3.890
O 3.810 -0.067 10.787
O 2.647 3.843 7.101
O 4.386 0.044 2.065
O 2.784 4.716 4.533
O 3.696 2.275 9.256
O 4.457 2.242 0.098
```